(1)
This entry pairs a crystal structure of La6CePrHo2 with its computed X-ray powder pattern. Radiation: Cu Kα. Structure: a crystal structure in Alexandria, relaxed with GGA-PBE.
Neutral-atom scattering factors, no anomalous dispersion.

Most intense lines, 2θ = 15–90°, by angle:
2θ = 28.5°, rel. 44, hkl 1 1 2
2θ = 30.1°, rel. 100, hkl 2 2 -1
2θ = 30.5°, rel. 98, hkl 0 0 3
2θ = 31.1°, rel. 59, hkl 2 2 0
2θ = 31.2°, rel. 43, hkl 4 0 -2
2θ = 31.4°, rel. 37, hkl 4 0 -1
2θ = 32.5°, rel. 38, hkl 3 1 -3
2θ = 54.5°, rel. 36, hkl 6 2 -2

Atomic structure:
Lattice parameters (Å, degrees): 11.5850 6.9348 9.8502 90.00 116.84 90.00
Space group C2/m (No. 12)
Unique sites:
La 0.1499 0.0000 0.4173 x4
La 0.1873 0.2276 0.8245 x8
Ce 0.0000 0.0000 0.0000 x2
Pr 0.0000 0.5000 0.5000 x2
Ho 0.0616 0.5000 0.1894 x4

=====

(2)
This entry pairs a crystal structure of LaCePr6Ho2 with its computed X-ray powder pattern. Radiation: Cu Kα. Structure: a crystal structure in Alexandria, relaxed with GGA-PBE.
Neutral-atom scattering factors, no anomalous dispersion.

Most intense lines, 2θ = 15–90°, by angle:
2θ = 26.5°, rel. 41, hkl 1 1 2
2θ = 30.1°, rel. 43, hkl 2 2 0
2θ = 30.6°, rel. 100, hkl 2 2 -1
2θ = 30.8°, rel. 84, hkl 3 1 1
2θ = 32.4°, rel. 39, hkl 1 1 -3
2θ = 32.5°, rel. 46, hkl 0 2 2
2θ = 32.8°, rel. 34, hkl 2 2 1
2θ = 34.4°, rel. 41, hkl 4 0 -2

Atomic structure:
Lattice parameters (Å, degrees): 11.3583 7.0395 9.0306 90.00 102.09 90.00
Space group C2/m (No. 12)
Unique sites:
La 0.0000 0.0000 0.0000 x2
Ce 0.0000 0.5000 0.5000 x2
Pr 0.1331 0.5000 0.9199 x4
Pr 0.1677 0.2353 0.3009 x8
Ho 0.0945 0.0000 0.6547 x4

=====

What did the first record say?
This entry pairs a crystal structure of La6CePrHo2 with its computed X-ray powder pattern. Radiation: Cu Kα. Structure: a crystal structure in Alexandria, relaxed with GGA-PBE.
Neutral-atom scattering factors, no anomalous dispersion.

Most intense lines, 2θ = 15–90°, by angle:
2θ = 28.5°, rel. 44, hkl 1 1 2
2θ = 30.1°, rel. 100, hkl 2 2 -1
2θ = 30.5°, rel. 98, hkl 0 0 3
2θ = 31.1°, rel. 59, hkl 2 2 0
2θ = 31.2°, rel. 43, hkl 4 0 -2
2θ = 31.4°, rel. 37, hkl 4 0 -1
2θ = 32.5°, rel. 38, hkl 3 1 -3
2θ = 54.5°, rel. 36, hkl 6 2 -2

Atomic structure:
Lattice parameters (Å, degrees): 11.5850 6.9348 9.8502 90.00 116.84 90.00
Space group C2/m (No. 12)
Unique sites:
La 0.1499 0.0000 0.4173 x4
La 0.1873 0.2276 0.8245 x8
Ce 0.0000 0.0000 0.0000 x2
Pr 0.0000 0.5000 0.5000 x2
Ho 0.0616 0.5000 0.1894 x4

=====

- What is the formula in the first record?
  La6CePrHo2